1.
The following is a theoretical powder diffractogram of Nd2MgSn4Rh3. It was derived from a GGA-PBE-relaxed structure, using copper Kα.

```
data_Nd2MgSn4Rh3
_chemical_formula_sum 'Nd2 Mg1 Sn4 Rh3'
_symmetry_space_group_name_H-M 'P 1'
_symmetry_Int_Tables_number 1
_symmetry_space_group_name_Hall 'P 1'
_cell_length_a 4.4685
_cell_length_b 4.4685
_cell_length_c 11.3067
_cell_angle_alpha 90.00
_cell_angle_beta 90.00
_cell_angle_gamma 90.00
loop_
_atom_site_label
_atom_site_fract_x
_atom_site_fract_y
_atom_site_fract_z
_atom_site_occupancy
Nd1 0.0000 0.5000 0.2388 1
Nd2 0.5000 0.0000 0.7612 1
Mg1 0.0000 0.0000 0.5000 1
Sn1 0.0000 0.0000 0.0000 1
Sn2 0.0000 0.5000 0.6444 1
Sn3 0.5000 0.0000 0.3556 1
Sn4 0.5000 0.5000 0.0000 1
Rh1 0.0000 0.5000 0.8732 1
Rh2 0.5000 0.0000 0.1268 1
Rh3 0.5000 0.5000 0.5000 1
```

Principal peaks in the range 15° ≤ 2θ ≤ 90°, by angle:
2theta	d/Å	intensity
31.04	2.881	61
32.46	2.758	100
40.37	2.234	66
44.93	2.018	35
51.78	1.766	29
61.97	1.497	27

***

2.
The following is a theoretical powder diffractogram of Ca2Pr4Dy. It was derived from a GGA-PBE-relaxed structure, using copper Kα.

```
data_Ca2Pr4Dy
_chemical_formula_sum 'Ca4 Pr8 Dy2'
_symmetry_space_group_name_H-M 'P 1'
_symmetry_Int_Tables_number 1
_symmetry_space_group_name_Hall 'P 1'
_cell_length_a 3.6103
_cell_length_b 5.9648
_cell_length_c 23.9667
_cell_angle_alpha 90.00
_cell_angle_beta 90.00
_cell_angle_gamma 90.00
loop_
_atom_site_label
_atom_site_fract_x
_atom_site_fract_y
_atom_site_fract_z
_atom_site_occupancy
Ca1 0.0000 0.0000 0.2212 1
Ca2 0.0000 0.0000 0.7788 1
Ca3 0.5000 0.5000 0.2788 1
Ca4 0.5000 0.5000 0.7212 1
Pr1 0.0000 0.5000 0.1300 1
Pr2 0.0000 0.5000 0.4204 1
Pr3 0.0000 0.5000 0.5796 1
Pr4 0.0000 0.5000 0.8700 1
Pr5 0.5000 0.0000 0.0796 1
Pr6 0.5000 0.0000 0.3700 1
Pr7 0.5000 0.0000 0.6300 1
Pr8 0.5000 0.0000 0.9204 1
Dy1 0.0000 0.0000 0.5000 1
Dy2 0.5000 0.5000 0.0000 1
```

Principal peaks in the range 15° ≤ 2θ ≤ 90°, by angle:
2theta	d/Å	intensity
27.10	3.290	41
29.96	2.982	53
30.10	2.969	89
32.62	2.745	100
40.84	2.210	27
59.97	1.543	28

***

3.
The following is a theoretical powder diffractogram of NaInSe. It was derived from a GGA-PBE-relaxed structure, using copper Kα.

```
data_NaInSe
_chemical_formula_sum 'Na4 In4 Se4'
_symmetry_space_group_name_H-M 'P 1'
_symmetry_Int_Tables_number 1
_symmetry_space_group_name_Hall 'P 1'
_cell_length_a 5.6432
_cell_length_b 8.1405
_cell_length_c 7.1236
_cell_angle_alpha 90.00
_cell_angle_beta 90.00
_cell_angle_gamma 90.00
loop_
_atom_site_label
_atom_site_fract_x
_atom_site_fract_y
_atom_site_fract_z
_atom_site_occupancy
Na1 0.1407 0.0888 0.2500 1
Na2 0.1407 0.4112 0.7500 1
Na3 0.8593 0.5888 0.2500 1
Na4 0.8593 0.9112 0.7500 1
In1 0.3287 0.7500 0.0000 1
In2 0.3287 0.7500 0.5000 1
In3 0.6713 0.2500 0.0000 1
In4 0.6713 0.2500 0.5000 1
Se1 0.3502 0.0816 0.7500 1
Se2 0.3502 0.4184 0.2500 1
Se3 0.6498 0.5816 0.7500 1
Se4 0.6498 0.9184 0.2500 1
```

Principal peaks in the range 15° ≤ 2θ ≤ 90°, by angle:
2theta	d/Å	intensity
15.70	5.643	45
19.14	4.638	28
31.68	2.825	100
33.43	2.680	54
36.75	2.445	50
42.35	2.134	29

***

4.
The following is a theoretical powder diffractogram of U3Pa5Se8. It was derived from a GGA-PBE-relaxed structure, using copper Kα.

```
data_U3Pa5Se8
_chemical_formula_sum 'U3 Pa5 Se8'
_symmetry_space_group_name_H-M 'P 1'
_symmetry_Int_Tables_number 1
_symmetry_space_group_name_Hall 'P 1'
_cell_length_a 8.4472
_cell_length_b 8.4472
_cell_length_c 8.4472
_cell_angle_alpha 55.26
_cell_angle_beta 55.26
_cell_angle_gamma 55.26
loop_
_atom_site_label
_atom_site_fract_x
_atom_site_fract_y
_atom_site_fract_z
_atom_site_occupancy
U1 0.0000 0.5000 0.5000 1
U2 0.5000 0.0000 0.5000 1
U3 0.5000 0.5000 0.0000 1
Pa1 0.0000 0.0000 0.0000 1
Pa2 0.0000 0.0000 0.5000 1
Pa3 0.0000 0.5000 0.0000 1
Pa4 0.5000 0.0000 0.0000 1
Pa5 0.5000 0.5000 0.5000 1
Se1 0.2498 0.2498 0.7485 1
Se2 0.2498 0.7485 0.2498 1
Se3 0.2509 0.2509 0.2509 1
Se4 0.2515 0.7502 0.7502 1
Se5 0.7485 0.2498 0.2498 1
Se6 0.7491 0.7491 0.7491 1
Se7 0.7502 0.2515 0.7502 1
Se8 0.7502 0.7502 0.2515 1
```

Principal peaks in the range 15° ≤ 2θ ≤ 90°, by angle:
2theta	d/Å	intensity
27.58	3.234	31
31.22	2.865	100
43.06	2.101	42
46.35	1.959	34
56.95	1.617	19
71.55	1.319	19